No. 1
Calculated powder diffractogram of CeVN2 for λ = 1.5418 Å (Cu Kα), from a DFT-relaxed cell (GGA-PBE, Alexandria).
Intensities are scaled so that the largest is 100.

Largest 10 diffraction maxima, by angle, 10° ≤ 2θ ≤ 90°:
2theta	I (rel.)	(hkl)
23.2	48	0 1 1
33.0	97	1 1 0
33.1	100	1 0 2
40.7	23	2 0 1
47.4	47	0 2 2
58.9	54	2 1 2
59.2	19	0 1 4
69.4	13	2 0 4
78.9	14	1 3 2
79.0	15	1 2 4

Atomic structure:
Cell: 5.4312 5.4312 6.6222 Å, 90.00 90.00 120.00°
Atoms (fractional coordinates):
Ce 0.0000 0.6522 0.1667
Ce 0.3478 0.3478 0.5000
Ce 0.6522 0.0000 0.8333
V 0.0000 0.6256 0.6667
V 0.3744 0.3744 0.0000
V 0.6256 0.0000 0.3333
N 0.1234 0.4675 0.8636
N 0.3441 0.8766 0.5303
N 0.4675 0.1234 0.1364
N 0.5325 0.6559 0.1969
N 0.6559 0.5325 0.8031
N 0.8766 0.3441 0.4697

No. 2
Calculated powder diffractogram of KLi2B for λ = 1.5418 Å (Cu Kα), from a DFT-relaxed cell (GGA-PBE, Alexandria).
Intensities are scaled so that the largest is 100.

Largest 10 diffraction maxima, by angle, 10° ≤ 2θ ≤ 90°:
2theta	I (rel.)	(hkl)
16.9	31	1 0 1
25.3	32	1 0 3
25.8	100	1 1 2
26.5	15	0 0 4
31.4	28	2 0 0
35.9	25	2 1 1
41.6	23	2 0 4
46.4	16	1 1 6
52.6	21	3 1 2
53.0	16	2 2 4

Atomic structure:
Cell: 5.6995 5.6995 13.4331 Å, 90.00 90.00 90.00°
Atoms (fractional coordinates):
K 0.0000 0.2500 0.3750
K 0.0000 0.7500 0.6250
K 0.5000 0.2500 0.1250
K 0.5000 0.7500 0.8750
Li 0.0000 0.0000 0.0000
Li 0.0000 0.5000 0.0000
Li 0.2500 0.2500 0.7500
Li 0.2500 0.7500 0.2500
Li 0.5000 0.0000 0.5000
Li 0.5000 0.5000 0.5000
Li 0.7500 0.2500 0.7500
Li 0.7500 0.7500 0.2500
B 0.0000 0.2500 0.8750
B 0.0000 0.7500 0.1250
B 0.5000 0.2500 0.6250
B 0.5000 0.7500 0.3750

No. 3
Calculated powder diffractogram of Ti6Ni5Pt for λ = 1.5418 Å (Cu Kα), from a DFT-relaxed cell (GGA-PBE, Alexandria).
Intensities are scaled so that the largest is 100.

Largest 10 diffraction maxima, by angle, 10° ≤ 2θ ≤ 90°:
2theta	I (rel.)	(hkl)
14.3	21	0 0 1
15.6	31	0 1 0
31.5	13	0 2 -2
41.1	52	1 -2 2
41.5	100	-1 2 1
42.1	51	1 2 -3
42.3	50	2 0 -1
44.0	43	0 0 3
57.7	15	0 4 -2
63.5	14	2 0 -4

Atomic structure:
Cell: 4.2719 6.3909 7.2129 Å, 115.87 105.59 90.96°
Atoms (fractional coordinates):
Ti 0.0257 0.2804 0.0411
Ti 0.3205 0.5685 0.6339
Ti 0.3570 0.0933 0.6668
Ti 0.6430 0.9067 0.3332
Ti 0.6795 0.4315 0.3661
Ti 0.9743 0.7196 0.9589
Ni 0.1122 0.6993 0.3179
Ni 0.1243 0.1171 0.3149
Ni 0.5000 0.5000 0.0000
Ni 0.8757 0.8829 0.6851
Ni 0.8878 0.3007 0.6821
Pt 0.5000 0.0000 0.0000